1.
# Pr3AgPt
Computed powder diffractogram, a wavelength of 1.5418 Å. Input: a DFT-relaxed cell (GGA-PBE, Alexandria).
Lines closer than 0.1° are merged.

Top 12 peaks for 5 to 70 degrees two-theta, low angle first:
2theta	d/Å	Rel. int.
15.75	5.625	27
16.87	5.254	36
27.52	3.241	30
29.81	2.997	35
30.94	2.890	42
31.82	2.812	75
33.66	2.663	100
33.72	2.658	28
34.30	2.615	59
36.63	2.453	42
36.92	2.434	72
41.05	2.199	27

Atomic structure:
```
Pr3AgPt
1.0
9.3772 0.0000 0.0000
0.0000 7.7706 0.0000
-2.4155 0.0000 8.1527
Pr Ag Pt
12 4 4
direct
0.0768 0.0067 0.2170 Pr
0.0768 0.4933 0.7170 Pr
0.3094 0.1508 0.6188 Pr
0.3094 0.3492 0.1188 Pr
0.3607 0.6813 0.5002 Pr
0.3607 0.8187 0.0002 Pr
0.6393 0.1813 0.9998 Pr
0.6393 0.3187 0.4998 Pr
0.6906 0.6508 0.8812 Pr
0.6906 0.8492 0.3812 Pr
0.9232 0.5067 0.2830 Pr
0.9232 0.9933 0.7830 Pr
0.0577 0.6731 0.0314 Ag
0.0577 0.8269 0.5314 Ag
0.9423 0.1731 0.4686 Ag
0.9423 0.3269 0.9686 Ag
0.4082 0.0365 0.3186 Pt
0.4082 0.4635 0.8186 Pt
0.5918 0.5365 0.1814 Pt
0.5918 0.9635 0.6814 Pt
```

---

2.
# RbSn4Cl8
Computed powder diffractogram, a wavelength of 1.5418 Å. Input: a DFT-relaxed cell (GGA-PBE, Alexandria).
Lines closer than 0.1° are merged.

Top 12 peaks for 5 to 70 degrees two-theta, low angle first:
2theta	d/Å	Rel. int.
11.46	7.724	100
22.76	3.908	28
23.04	3.860	23
25.46	3.499	31
25.98	3.429	14
32.47	2.758	43
32.74	2.735	11
33.09	2.707	16
40.31	2.237	19
41.87	2.158	15
42.21	2.141	13
52.67	1.738	15

Atomic structure:
```
RbSn4Cl8
1.0
7.7180 -4.5317 0.0000
7.7180 4.5317 0.0000
-7.5908 0.0000 7.7243
Rb Sn Cl
1 4 8
direct
0.0000 0.0000 0.0000 Rb
0.2370 0.7630 0.5000 Sn
0.2703 0.2703 0.5453 Sn
0.7297 0.7297 0.4547 Sn
0.7630 0.2370 0.5000 Sn
0.1149 0.7131 0.6678 Cl
0.1527 0.1527 0.6963 Cl
0.2869 0.8851 0.3322 Cl
0.3029 0.3029 0.3355 Cl
0.6971 0.6971 0.6645 Cl
0.7131 0.1149 0.6678 Cl
0.8473 0.8473 0.3037 Cl
0.8851 0.2869 0.3322 Cl
```